Entry 1:
The following is a simulated X-ray powder pattern of Rb2TlCl2. It was derived from a DFT-relaxed cell (GGA-PBE, Alexandria), using Cu Kα, 1.54184 Å.
Peak positions follow from Bragg's law for the DFT cell and can differ from measured ones.

Crystal structure
Cell: 5.8888 5.8888 13.9659 Å, 90.00 90.00 90.00°
Atoms (fractional coordinates):
Rb1 0.0000 0.0000 0.1653
Rb2 0.0000 0.0000 0.8347
Rb3 0.5000 0.5000 0.3347
Rb4 0.5000 0.5000 0.6653
Tl1 0.0000 0.0000 0.5000
Tl2 0.5000 0.5000 0.0000
Cl1 0.0000 0.5000 0.2500
Cl2 0.0000 0.5000 0.7500
Cl3 0.5000 0.0000 0.2500
Cl4 0.5000 0.0000 0.7500

Most intense lines, 2θ = 15–90°, low angle first:
- d 5.426, I 21.5
- d 4.164, I 43.3
- d 3.652, I 100.0
- d 3.576, I 24.3
- d 2.944, I 41.1
- d 2.292, I 57.0
- d 2.032, I 27.7
- d 1.454, I 18.6

---

Entry 2:
The following is a simulated X-ray powder pattern of Cs6Rb9Pd. It was derived from a DFT-relaxed cell (GGA-PBE, Alexandria), using Cu Kα, 1.54184 Å.
Peak positions follow from Bragg's law for the DFT cell and can differ from measured ones.

Crystal structure
Cell: 13.6786 13.6786 13.6786 Å, 130.42 130.42 72.74°
Atoms (fractional coordinates):
Cs1 0.0974 0.2869 0.3843
Cs2 0.1572 0.1572 0.0000
Cs3 0.2869 0.9026 0.1895
Cs4 0.7131 0.0974 0.8105
Cs5 0.8428 0.8428 0.0000
Cs6 0.9026 0.7131 0.6157
Rb1 0.0340 0.4148 0.7910
Rb2 0.2430 0.0340 0.6193
Rb3 0.3763 0.7570 0.7910
Rb4 0.4148 0.6237 0.3807
Rb5 0.5000 0.5000 0.0000
Rb6 0.5852 0.3763 0.6193
Rb7 0.6237 0.2430 0.2090
Rb8 0.7570 0.9660 0.3807
Rb9 0.9660 0.5852 0.2090
Pd1 0.0000 0.0000 0.0000

Most intense lines, 2θ = 15–90°, low angle first:
- d 4.205, I 100.0
- d 3.671, I 23.5
- d 3.628, I 45.7
- d 2.580, I 35.9
- d 2.565, I 17.8
- d 2.209, I 16.6
- d 2.190, I 33.2
- d 2.103, I 19.0

---

Entry 3:
The following is a simulated X-ray powder pattern of Ba16Re6O37. It was derived from a DFT-relaxed cell (GGA-PBE, Alexandria), using Cu Kα, 1.54184 Å.
Peak positions follow from Bragg's law for the DFT cell and can differ from measured ones.

Crystal structure
Cell: 10.8800 10.8800 15.9702 Å, 93.85 93.85 31.86°
Atoms (fractional coordinates):
Ba1 0.0000 0.0000 0.0000
Ba2 0.0000 0.0000 0.5000
Ba3 0.0922 0.0922 0.7971
Ba4 0.1826 0.1826 0.0411
Ba5 0.2320 0.2320 0.3992
Ba6 0.2685 0.2685 0.7981
Ba7 0.3942 0.3942 0.6026
Ba8 0.4158 0.4158 0.3554
Ba9 0.4591 0.4591 0.8607
Ba10 0.5409 0.5409 0.1393
Ba11 0.5842 0.5842 0.6446
Ba12 0.6058 0.6058 0.3974
Ba13 0.7315 0.7315 0.2019
Ba14 0.7680 0.7680 0.6008
Ba15 0.8174 0.8174 0.9589
Ba16 0.9078 0.9078 0.2029
Re1 0.0807 0.0807 0.2630
Re2 0.1733 0.1733 0.6062
Re3 0.3596 0.3596 0.0759
Re4 0.6404 0.6404 0.9241
Re5 0.8267 0.8267 0.3938
Re6 0.9193 0.9193 0.7370
O1 0.0357 0.5911 0.3063
O2 0.0720 0.5225 0.0901
O3 0.0735 0.0735 0.1407
O4 0.0744 0.6080 0.4721
O5 0.0844 0.0844 0.6286
O6 0.0835 0.6280 0.7393
O7 0.0890 0.0890 0.3805
O8 0.1929 0.6521 0.0583
O9 0.2116 0.7562 0.7375
O10 0.2438 0.7884 0.2625
O11 0.2622 0.2622 0.5916
O12 0.3427 0.3427 0.9548
O13 0.3479 0.8071 0.9417
O14 0.3720 0.9165 0.2607
O15 0.3916 0.3916 0.1863
O16 0.3920 0.9256 0.5279
O17 0.4089 0.9643 0.6937
O18 0.4775 0.9280 0.9099
O19 0.5000 0.5000 0.5000
O20 0.5225 0.0720 0.0901
O21 0.5911 0.0357 0.3063
O22 0.6080 0.0744 0.4721
O23 0.6084 0.6084 0.8137
O24 0.6280 0.0835 0.7393
O25 0.6521 0.1929 0.0583
O26 0.6573 0.6573 0.0452
O27 0.7378 0.7378 0.4084
O28 0.7562 0.2116 0.7375
O29 0.7884 0.2438 0.2625
O30 0.8071 0.3479 0.9417
O31 0.9110 0.9110 0.6195
O32 0.9165 0.3720 0.2607
O33 0.9156 0.9156 0.3714
O34 0.9256 0.3920 0.5279
O35 0.9265 0.9265 0.8593
O36 0.9280 0.4775 0.9099
O37 0.9643 0.4089 0.6937

Most intense lines, 2θ = 15–90°, low angle first:
- d 4.870, I 15.9
- d 3.303, I 87.4
- d 3.273, I 38.1
- d 3.081, I 100.0
- d 3.062, I 18.9
- d 2.986, I 69.7
- d 2.206, I 34.1
- d 1.741, I 25.6

---

Entry 4:
The following is a simulated X-ray powder pattern of CuCl. It was derived from a DFT-relaxed cell (GGA-PBE, Alexandria), using Cu Kα, 1.54184 Å.
Peak positions follow from Bragg's law for the DFT cell and can differ from measured ones.

Crystal structure
Cell: 7.3229 7.3229 7.3229 Å, 90.00 90.00 90.00°
Atoms (fractional coordinates):
Cu1 0.1272 0.1272 0.8728
Cu2 0.1272 0.8728 0.1272
Cu3 0.3728 0.3728 0.3728
Cu4 0.3728 0.6272 0.6272
Cu5 0.6272 0.3728 0.6272
Cu6 0.6272 0.6272 0.3728
Cu7 0.8728 0.1272 0.1272
Cu8 0.8728 0.8728 0.8728
Cl1 0.1906 0.1906 0.1906
Cl2 0.1906 0.8094 0.8094
Cl3 0.3094 0.3094 0.6906
Cl4 0.3094 0.6906 0.3094
Cl5 0.6906 0.3094 0.3094
Cl6 0.6906 0.6906 0.6906
Cl7 0.8094 0.1906 0.8094
Cl8 0.8094 0.8094 0.1906

Most intense lines, 2θ = 15–90°, low angle first:
- d 5.178, I 100.0
- d 3.661, I 12.6
- d 2.316, I 36.6
- d 2.114, I 15.1
- d 1.957, I 37.8
- d 1.726, I 25.0
- d 1.436, I 10.8
- d 1.188, I 12.1

---

Entry 5:
The following is a simulated X-ray powder pattern of Sc6N2O5. It was derived from a DFT-relaxed cell (GGA-PBE, Alexandria), using Cu Kα, 1.54184 Å.
Peak positions follow from Bragg's law for the DFT cell and can differ from measured ones.

Crystal structure
Cell: 5.4595 5.4620 5.4642 Å, 99.84 99.92 99.68°
Atoms (fractional coordinates):
Sc1 0.0000 0.0000 0.0000
Sc2 0.1243 0.5677 0.2804
Sc3 0.2791 0.1514 0.5836
Sc4 0.4094 0.6963 0.8727
Sc5 0.5636 0.2781 0.1555
Sc6 0.6984 0.8610 0.4477
N1 0.2202 0.3481 0.9472
N2 0.3473 0.9251 0.2250
O1 0.0682 0.8019 0.6442
O2 0.4726 0.5058 0.5028
O3 0.6224 0.0484 0.8003
O4 0.7675 0.6508 0.1039
O5 0.9219 0.1986 0.3482

Most intense lines, 2θ = 15–90°, low angle first:
- d 5.267, I 24.5
- d 4.178, I 14.8
- d 2.577, I 43.3
- d 2.229, I 100.0
- d 2.225, I 49.8
- d 1.580, I 28.5
- d 1.578, I 14.4
- d 1.572, I 41.9

---

Entry 6:
The following is a simulated X-ray powder pattern of Ge2TeS2. It was derived from a DFT-relaxed cell (GGA-PBE, Alexandria), using Cu Kα, 1.54184 Å.
Peak positions follow from Bragg's law for the DFT cell and can differ from measured ones.

Crystal structure
Cell: 8.7154 8.7154 6.8935 Å, 109.75 109.75 115.58°
Atoms (fractional coordinates):
Ge1 0.0647 0.9353 0.5000
Ge2 0.4623 0.9835 0.6486
Ge3 0.9353 0.0647 0.0000
Ge4 0.9835 0.4623 0.1486
Te1 0.7679 0.9293 0.5199
Te2 0.9293 0.7679 0.0199
S1 0.1300 0.7230 0.5782
S2 0.2207 0.3928 0.2621
S3 0.3928 0.2207 0.7621
S4 0.7230 0.1300 0.0782

Most intense lines, 2θ = 15–90°, low angle first:
- d 3.989, I 52.1
- d 3.927, I 79.8
- d 3.186, I 85.5
- d 2.887, I 56.5
- d 2.569, I 100.0
- d 2.458, I 46.7
- d 2.081, I 52.5
- d 2.065, I 38.0

---

Entry 7:
The following is a simulated X-ray powder pattern of Co2Ge. It was derived from a DFT-relaxed cell (GGA-PBE, Alexandria), using Cu Kα, 1.54184 Å.
Peak positions follow from Bragg's law for the DFT cell and can differ from measured ones.

Crystal structure
Cell: 5.0401 3.8266 7.2198 Å, 90.00 90.00 90.00°
Atoms (fractional coordinates):
Co1 0.0378 0.2500 0.2208
Co2 0.1739 0.2500 0.5632
Co3 0.3261 0.7500 0.0632
Co4 0.4622 0.7500 0.7208
Co5 0.5378 0.2500 0.2792
Co6 0.6739 0.2500 0.9368
Co7 0.8261 0.7500 0.4368
Co8 0.9622 0.7500 0.7792
Ge1 0.2039 0.2500 0.8938
Ge2 0.2961 0.7500 0.3938
Ge3 0.7039 0.2500 0.6062
Ge4 0.7961 0.7500 0.1062

Most intense lines, 2θ = 15–90°, low angle first:
- d 2.105, I 50.1
- d 2.066, I 27.1
- d 2.037, I 100.0
- d 2.021, I 69.8
- d 1.913, I 50.7
- d 1.889, I 16.6
- d 1.740, I 21.9
- d 1.287, I 15.0

---

Entry 8:
The following is a simulated X-ray powder pattern of TbI3O9. It was derived from a DFT-relaxed cell (GGA-PBE, Alexandria), using Cu Kα, 1.54184 Å.
Peak positions follow from Bragg's law for the DFT cell and can differ from measured ones.

Crystal structure
Cell: 8.8197 6.1718 16.7891 Å, 90.00 114.52 90.00°
Atoms (fractional coordinates):
Tb1 0.1482 0.2111 0.1053
Tb2 0.1482 0.2889 0.6053
Tb3 0.8518 0.7111 0.3947
Tb4 0.8518 0.7889 0.8947
I1 0.0735 0.1876 0.3592
I2 0.0735 0.3124 0.8592
I3 0.3556 0.6454 0.5195
I4 0.3556 0.8546 0.0195
I5 0.4166 0.5970 0.8023
I6 0.4166 0.9030 0.3023
I7 0.5834 0.0970 0.6977
I8 0.5834 0.4030 0.1977
I9 0.6444 0.1454 0.9805
I10 0.6444 0.3546 0.4805
I11 0.9265 0.6876 0.1408
I12 0.9265 0.8124 0.6408
O1 0.0588 0.0522 0.6853
O2 0.0588 0.4478 0.1853
O3 0.0946 0.6077 0.6691
O4 0.0946 0.8923 0.1691
O5 0.1170 0.1319 0.4730
O6 0.1170 0.3681 0.9730
O7 0.1268 0.6273 0.4838
O8 0.1268 0.8727 0.9838
O9 0.3379 0.5854 0.8880
O10 0.3379 0.9146 0.3880
O11 0.3437 0.1725 0.2558
O12 0.3437 0.3275 0.7558
O13 0.3554 0.0709 0.9417
O14 0.3554 0.4291 0.4417
O15 0.3650 0.0165 0.6344
O16 0.3650 0.4835 0.1344
O17 0.3900 0.0223 0.1164
O18 0.3900 0.4777 0.6164
O19 0.6100 0.5223 0.3836
O20 0.6100 0.9777 0.8836
O21 0.6350 0.5165 0.8656
O22 0.6350 0.9835 0.3656
O23 0.6446 0.5709 0.5583
O24 0.6446 0.9291 0.0583
O25 0.6563 0.6725 0.2442
O26 0.6563 0.8275 0.7442
O27 0.6621 0.0854 0.6120
O28 0.6621 0.4146 0.1120
O29 0.8732 0.1273 0.0162
O30 0.8732 0.3727 0.5162
O31 0.8830 0.6319 0.0270
O32 0.8830 0.8681 0.5270
O33 0.9054 0.1077 0.8309
O34 0.9054 0.3923 0.3309
O35 0.9412 0.5522 0.8147
O36 0.9412 0.9478 0.3147

Most intense lines, 2θ = 15–90°, low angle first:
- d 4.350, I 21.5
- d 3.928, I 39.6
- d 3.571, I 18.5
- d 3.465, I 100.0
- d 3.364, I 85.3
- d 2.999, I 34.5
- d 2.910, I 24.0
- d 2.803, I 29.4

---

Entry 9:
The following is a simulated X-ray powder pattern of K4Dy6F19. It was derived from a DFT-relaxed cell (GGA-PBE, Alexandria), using Cu Kα, 1.54184 Å.
Peak positions follow from Bragg's law for the DFT cell and can differ from measured ones.

Crystal structure
Cell: 9.6243 9.6243 9.6243 Å, 109.47 109.47 109.47°
Atoms (fractional coordinates):
K1 0.0000 0.0000 0.2627
K2 0.0000 0.2627 0.0000
K3 0.2627 0.0000 0.0000
K4 0.7373 0.7373 0.7373
Dy1 0.1620 0.5000 0.6620
Dy2 0.3380 0.8380 0.5000
Dy3 0.5000 0.3380 0.8380
Dy4 0.5000 0.6620 0.1620
Dy5 0.6620 0.1620 0.5000
Dy6 0.8380 0.5000 0.3380
F1 0.0000 0.0000 0.0000
F2 0.0000 0.3796 0.3796
F3 0.0000 0.6204 0.6204
F4 0.0584 0.7012 0.3639
F5 0.2988 0.3571 0.6626
F6 0.3055 0.6429 0.9416
F7 0.3374 0.6945 0.6361
F8 0.3571 0.6626 0.2988
F9 0.3639 0.0584 0.7012
F10 0.3796 0.0000 0.3796
F11 0.3796 0.3796 0.0000
F12 0.6204 0.0000 0.6204
F13 0.6204 0.6204 0.0000
F14 0.6361 0.3374 0.6945
F15 0.6429 0.9416 0.3055
F16 0.6626 0.2988 0.3571
F17 0.6945 0.6361 0.3374
F18 0.7012 0.3639 0.0584
F19 0.9416 0.3055 0.6429

Most intense lines, 2θ = 15–90°, low angle first:
- d 5.557, I 71.7
- d 3.514, I 100.0
- d 2.970, I 74.6
- d 2.179, I 59.8
- d 1.852, I 30.8
- d 1.803, I 26.6
- d 1.639, I 21.4
- d 1.572, I 19.7

---

Entry 10:
The following is a simulated X-ray powder pattern of InAgPb2. It was derived from a DFT-relaxed cell (GGA-PBE, Alexandria), using Cu Kα, 1.54184 Å.
Peak positions follow from Bragg's law for the DFT cell and can differ from measured ones.

Crystal structure
Cell: 4.9044 4.9044 8.9141 Å, 90.00 90.00 90.00°
Atoms (fractional coordinates):
In1 0.0000 0.0000 0.0000
In2 0.5000 0.5000 0.5000
Ag1 0.0000 0.0000 0.5000
Ag2 0.5000 0.5000 0.0000
Pb1 0.0000 0.5000 0.2500
Pb2 0.0000 0.5000 0.7500
Pb3 0.5000 0.0000 0.2500
Pb4 0.5000 0.0000 0.7500

Most intense lines, 2θ = 15–90°, low angle first:
- d 2.737, I 100.0
- d 2.452, I 37.0
- d 2.229, I 14.0
- d 1.734, I 13.0
- d 1.649, I 22.0
- d 1.465, I 29.7
- d 1.369, I 11.9
- d 1.366, I 11.8